(1)
EuMoO3: theoretical X-ray powder pattern (Cu Kα X-rays), based on a DFT-relaxed cell (GGA+U, the Materials Project).
Intensities are scaled so that the largest is 100.

Cell lengths 4.1002, 4.1002, 4.1002 Å; angles 90.00, 90.00, 90.00 degrees
Atoms (fractional coordinates):
Eu (0.0000, 0.0000, 0.0000)
Mo (0.5000, 0.5000, 0.5000)
O (0.0000, 0.5000, 0.5000)
O (0.5000, 0.0000, 0.5000)
O (0.5000, 0.5000, 0.0000)

Principal peaks in the range 15 to 90 degrees two-theta, sorted by position:
30.8 deg, I = 100
38.0 deg, I = 8
44.2 deg, I = 30
54.8 deg, I = 39
64.3 deg, I = 18
73.0 deg, I = 17
81.3 deg, I = 6
89.4 deg, I = 22

---

(2)
Li9Mn2Co5O16: theoretical X-ray powder pattern (Cu Kα X-rays), based on a DFT-relaxed cell (GGA+U, the Materials Project).
Intensities are scaled so that the largest is 100.

Cell lengths 5.7942, 6.6029, 7.7919 Å; angles 85.86, 78.55, 77.20 degrees
Atoms (fractional coordinates):
Li (0.0000, 0.0000, 0.0000)
Li (0.0579, 0.1180, 0.6354)
Li (0.1202, 0.2370, 0.2677)
Li (0.2434, 0.4930, 0.5188)
Li (0.3671, 0.7504, 0.7584)
Li (0.4960, 0.0036, 0.0042)
Li (0.6239, 0.2379, 0.2643)
Li (0.7504, 0.4919, 0.5188)
Li (0.8753, 0.7578, 0.7590)
Mn (0.4267, 0.8763, 0.3920)
Mn (0.8110, 0.6215, 0.1388)
Co (0.1853, 0.3627, 0.8772)
Co (0.3120, 0.6205, 0.1322)
Co (0.5622, 0.1231, 0.6354)
Co (0.6937, 0.3590, 0.8793)
Co (0.9342, 0.8708, 0.3886)
O (0.0244, 0.5781, 0.3099)
O (0.0786, 0.6789, 0.9656)
O (0.1583, 0.8101, 0.5502)
O (0.2143, 0.9225, 0.2204)
O (0.2911, 0.0667, 0.8184)
O (0.3489, 0.1588, 0.4446)
O (0.3989, 0.3242, 0.0601)
O (0.4709, 0.4267, 0.7007)
O (0.5366, 0.5784, 0.3147)
O (0.5928, 0.6785, 0.9723)
O (0.6526, 0.8156, 0.5547)
O (0.7190, 0.9104, 0.2148)
O (0.7686, 0.0714, 0.8267)
O (0.8320, 0.1551, 0.4536)
O (0.8976, 0.3322, 0.0750)
O (0.9625, 0.4391, 0.7170)

Principal peaks in the range 15 to 90 degrees two-theta, sorted by position:
18.3 deg, I = 100
36.0 deg, I = 27
36.5 deg, I = 12
43.5 deg, I = 54
44.1 deg, I = 26
47.8 deg, I = 9
57.3 deg, I = 9
63.0 deg, I = 15

---

(3)
CoH6Se2O8: theoretical X-ray powder pattern (Cu Kα X-rays), based on a DFT-relaxed cell (GGA+U, the Materials Project).
Intensities are scaled so that the largest is 100.

Cell lengths 7.2161, 7.0053, 8.4550 Å; angles 90.00, 118.54, 90.00 degrees
Atoms (fractional coordinates):
Co (0.0000, 0.0000, 0.0000)
Co (0.0000, 0.5000, 0.5000)
H (0.1102, 0.2054, 0.3858)
H (0.1102, 0.2946, 0.8858)
H (0.2137, 0.1693, 0.5978)
H (0.2137, 0.3307, 0.0978)
H (0.4949, 0.0295, 0.2358)
H (0.4949, 0.4705, 0.7358)
H (0.5051, 0.5295, 0.2642)
H (0.5051, 0.9705, 0.7642)
H (0.7863, 0.6693, 0.9022)
H (0.7863, 0.8307, 0.4022)
H (0.8898, 0.7054, 0.1142)
H (0.8898, 0.7946, 0.6142)
Se (0.3238, 0.7314, 0.3772)
Se (0.3238, 0.7686, 0.8772)
Se (0.6762, 0.2314, 0.1228)
Se (0.6762, 0.2686, 0.6228)
O (0.0768, 0.6652, 0.3340)
O (0.0768, 0.8348, 0.8340)
O (0.1936, 0.2330, 0.0057)
O (0.1936, 0.2670, 0.5057)
O (0.2779, 0.5756, 0.7404)
O (0.2779, 0.9244, 0.2404)
O (0.3551, 0.5427, 0.2412)
O (0.3551, 0.9573, 0.7412)
O (0.6449, 0.0427, 0.2588)
O (0.6449, 0.4573, 0.7588)
O (0.7221, 0.0756, 0.7596)
O (0.7221, 0.4244, 0.2596)
O (0.8064, 0.7330, 0.4943)
O (0.8064, 0.7670, 0.9943)
O (0.9232, 0.1652, 0.1660)
O (0.9232, 0.3348, 0.6660)

Principal peaks in the range 15 to 90 degrees two-theta, sorted by position:
17.4 deg, I = 47
18.9 deg, I = 100
24.7 deg, I = 31
26.9 deg, I = 26
27.2 deg, I = 70
31.0 deg, I = 30
33.3 deg, I = 97
42.8 deg, I = 21

---

(4)
LiCrP3O9: theoretical X-ray powder pattern (Cu Kα X-rays), based on a DFT-relaxed cell (GGA+U, the Materials Project).
Intensities are scaled so that the largest is 100.

Cell lengths 6.6153, 6.6153, 9.8358 Å; angles 92.86, 92.86, 58.23 degrees
Atoms (fractional coordinates):
Li (0.0569, 0.9431, 0.5000)
Li (0.9431, 0.0569, 0.0000)
Cr (0.6716, 0.6832, 0.0035)
Cr (0.6832, 0.6716, 0.5035)
P (0.0660, 0.3815, 0.7582)
P (0.0793, 0.5936, 0.2528)
P (0.3561, 0.6039, 0.7498)
P (0.3815, 0.0660, 0.2582)
P (0.5936, 0.0793, 0.7528)
P (0.6039, 0.3561, 0.2498)
O (0.1279, 0.5854, 0.7713)
O (0.1427, 0.3237, 0.2642)
O (0.3237, 0.1427, 0.7642)
O (0.3235, 0.7340, 0.6223)
O (0.3310, 0.5639, 0.2250)
O (0.3881, 0.9495, 0.1220)
O (0.3947, 0.9379, 0.3842)
O (0.3966, 0.7021, 0.8824)
O (0.5639, 0.3310, 0.7250)
O (0.5854, 0.1279, 0.2713)
O (0.6977, 0.9298, 0.6257)
O (0.7021, 0.3966, 0.3824)
O (0.7226, 0.9883, 0.8866)
O (0.7340, 0.3235, 0.1223)
O (0.9298, 0.6977, 0.1257)
O (0.9379, 0.3947, 0.8842)
O (0.9495, 0.3881, 0.6220)
O (0.9883, 0.7226, 0.3866)

Principal peaks in the range 15 to 90 degrees two-theta, sorted by position:
15.8 deg, I = 72
18.1 deg, I = 54
23.7 deg, I = 61
24.4 deg, I = 100
28.1 deg, I = 57
28.9 deg, I = 38
31.9 deg, I = 59
48.6 deg, I = 37

---

(5)
MgFeSb4O12: theoretical X-ray powder pattern (Cu Kα X-rays), based on a DFT-relaxed cell (GGA+U, the Materials Project).
Intensities are scaled so that the largest is 100.

Cell lengths 5.2723, 5.4777, 7.6388 Å; angles 93.35, 90.16, 90.13 degrees
Atoms (fractional coordinates):
Mg (0.0000, 0.0000, 0.0000)
Fe (0.4979, 0.6539, 0.9263)
Sb (0.0042, 0.5729, 0.2237)
Sb (0.4918, 0.0874, 0.6994)
Sb (0.4975, 0.0929, 0.2257)
Sb (0.9958, 0.5693, 0.6950)
O (0.1049, 0.6033, 0.9603)
O (0.1702, 0.2538, 0.6575)
O (0.1730, 0.9060, 0.2455)
O (0.3216, 0.7554, 0.6782)
O (0.3288, 0.4117, 0.2624)
O (0.3771, 0.0719, 0.9625)
O (0.6274, 0.0748, 0.4624)
O (0.6889, 0.3866, 0.7794)
O (0.7073, 0.7891, 0.1391)
O (0.7926, 0.8776, 0.7823)
O (0.8101, 0.2715, 0.1405)
O (0.8648, 0.5855, 0.4586)

Principal peaks in the range 15 to 90 degrees two-theta, sorted by position:
23.4 deg, I = 100
23.5 deg, I = 50
32.6 deg, I = 55
32.8 deg, I = 28
34.0 deg, I = 45
34.1 deg, I = 21
53.0 deg, I = 16
53.2 deg, I = 16

---

(6)
Na6MgMo2N2O6: theoretical X-ray powder pattern (Cu Kα X-rays), based on a DFT-relaxed cell (GGA+U, the Materials Project).
Intensities are scaled so that the largest is 100.

Cell lengths 6.0066, 7.0380, 6.5355 Å; angles 90.00, 90.44, 90.00 degrees
Atoms (fractional coordinates):
Na (0.0000, 0.0000, 0.0000)
Na (0.0030, 0.2880, 0.6581)
Na (0.0030, 0.7120, 0.6581)
Na (0.5181, 0.5000, 0.7962)
Na (0.5625, 0.2460, 0.2706)
Na (0.5625, 0.7540, 0.2706)
Mg (0.1571, 0.0000, 0.3926)
Mo (0.0274, 0.5000, 0.1480)
Mo (0.5107, 0.0000, 0.7568)
N (0.2078, 0.0000, 0.6943)
N (0.7400, 0.5000, 0.1101)
O (0.1329, 0.2485, 0.2672)
O (0.1329, 0.7515, 0.2672)
O (0.1494, 0.5000, 0.8737)
O (0.6130, 0.0000, 0.0337)
O (0.6353, 0.2193, 0.6238)
O (0.6353, 0.7807, 0.6238)

Principal peaks in the range 15 to 90 degrees two-theta, sorted by position:
18.5 deg, I = 94
19.4 deg, I = 100
20.0 deg, I = 49
27.3 deg, I = 45
28.8 deg, I = 43
29.7 deg, I = 77
32.5 deg, I = 77
32.6 deg, I = 43